This entry pairs a crystal structure of NdAsPd with its simulated powder X-ray diffraction pattern. Radiation: CuKα. Structure: a cell relaxed with GGA-PBE.

Crystal structure
```
NdAsPd
1.0
4.5176 0.0000 0.0000
-2.2588 3.9123 0.0000
0.0000 0.0000 7.7806
Nd As Pd
2 2 2
Cartesian
0.0000 0.0000 1.8950
0.0000 0.0000 5.8856
0.0000 2.6082 3.8905
2.2588 1.3041 3.8901
0.0000 2.6082 0.0790
2.2588 1.3041 7.7015
```

The 10 most intense peaks (2θ from 10° to 90°), sorted by position:
2θ = 22.73°, 3.912 Å, intensity 56, (1 0 0)
2θ = 32.46°, 2.759 Å, intensity 1000, (1 0 2)
2θ = 39.91°, 2.259 Å, intensity 551, (1 1 0)
2θ = 46.70°, 1.945 Å, intensity 113, (0 0 4)
2θ = 52.35°, 1.748 Å, intensity 257, (0 2 2)
2θ = 63.07°, 1.474 Å, intensity 273, (1 1 4)
2θ = 67.80°, 1.382 Å, intensity 234, (2 1 2)
2θ = 72.48°, 1.304 Å, intensity 93, (3 0 0)
2θ = 77.56°, 1.231 Å, intensity 77, (1 0 6)
2θ = 86.09°, 1.129 Å, intensity 60, (2 2 0)

This entry pairs a crystal structure of Bi2SeO2 with its simulated powder X-ray diffraction pattern. Radiation: CuKα. Structure: a cell relaxed with GGA-PBE.

Crystal structure
```
Bi2SeO2
1.0
4.1658 0.0000 0.0000
0.0000 4.1658 0.0000
0.0000 0.0000 10.6238
Bi Se O
4 2 4
Cartesian
0.0000 0.0000 2.0128
0.0000 0.0000 8.6109
2.0829 2.0829 3.2991
2.0829 2.0829 7.3247
0.0000 0.0000 5.3119
2.0829 2.0829 0.0000
0.0000 2.0829 0.0000
0.0000 2.0829 5.3119
2.0829 0.0000 0.0000
2.0829 0.0000 5.3119
```

The 10 most intense peaks (2θ from 10° to 90°), sorted by position:
2θ = 16.69°, 5.312 Å, intensity 197, (0 0 2)
2θ = 30.34°, 2.946 Å, intensity 638, (1 1 0)
2θ = 33.20°, 2.698 Å, intensity 1000, (1 0 3)
2θ = 34.83°, 2.576 Å, intensity 273, (1 1 2)
2θ = 43.45°, 2.083 Å, intensity 319, (2 0 0)
2θ = 48.07°, 1.893 Å, intensity 172, (1 0 5)
2θ = 55.75°, 1.649 Å, intensity 468, (2 1 3)
2θ = 66.78°, 1.401 Å, intensity 134, (2 1 5)
2θ = 71.64°, 1.317 Å, intensity 121, (3 1 0)
2θ = 89.15°, 1.098 Å, intensity 137, (3 2 3)

Please write out number 2 again, unchanged.
This entry pairs a crystal structure of Bi2SeO2 with its simulated powder X-ray diffraction pattern. Radiation: CuKα. Structure: a cell relaxed with GGA-PBE.

Crystal structure
```
Bi2SeO2
1.0
4.1658 0.0000 0.0000
0.0000 4.1658 0.0000
0.0000 0.0000 10.6238
Bi Se O
4 2 4
Cartesian
0.0000 0.0000 2.0128
0.0000 0.0000 8.6109
2.0829 2.0829 3.2991
2.0829 2.0829 7.3247
0.0000 0.0000 5.3119
2.0829 2.0829 0.0000
0.0000 2.0829 0.0000
0.0000 2.0829 5.3119
2.0829 0.0000 0.0000
2.0829 0.0000 5.3119
```

The 10 most intense peaks (2θ from 10° to 90°), sorted by position:
2θ = 16.69°, 5.312 Å, intensity 197, (0 0 2)
2θ = 30.34°, 2.946 Å, intensity 638, (1 1 0)
2θ = 33.20°, 2.698 Å, intensity 1000, (1 0 3)
2θ = 34.83°, 2.576 Å, intensity 273, (1 1 2)
2θ = 43.45°, 2.083 Å, intensity 319, (2 0 0)
2θ = 48.07°, 1.893 Å, intensity 172, (1 0 5)
2θ = 55.75°, 1.649 Å, intensity 468, (2 1 3)
2θ = 66.78°, 1.401 Å, intensity 134, (2 1 5)
2θ = 71.64°, 1.317 Å, intensity 121, (3 1 0)
2θ = 89.15°, 1.098 Å, intensity 137, (3 2 3)